# La2OsCl2
Theoretical powder diffraction line list, copper Kα. Input: a cell relaxed with GGA-PBE.

Top 10 peaks for 2θ = 10–90°, sorted by position:
2θ/deg	intensity
11.8	44
28.2	100
30.9	58
33.2	62
37.2	94
44.2	41
53.3	35
59.1	49
67.8	17
88.2	17

Cell and atoms:
abc: 8.024 8.024 8.024
angles: 150.41 150.41 42.33
Element x y z (fractional)
1 La 0.110 0.110 0.000
2 La 0.890 0.890 0.000
3 Os 0.500 0.500 0.000
4 Cl 0.250 0.750 0.500
5 Cl 0.750 0.250 0.500

# La8OsCl6
Theoretical powder diffraction line list, copper Kα. Input: a cell relaxed with GGA-PBE.

Top 10 peaks for 2θ = 10–90°, sorted by position:
2θ/deg	intensity
11.4	55
14.1	33
24.5	100
33.8	98
34.8	40
35.0	75
37.7	19
50.2	21
53.7	19
54.0	24

Cell and atoms:
abc: 8.936 8.936 6.259
angles: 90.00 90.00 120.00
Element x y z (fractional)
1 La 0.000 0.251 0.257
2 La 0.000 0.749 0.743
3 La 0.251 0.000 0.257
4 La 0.251 0.251 0.743
5 La 0.333 0.667 0.000
6 La 0.667 0.333 0.000
7 La 0.749 0.000 0.743
8 La 0.749 0.749 0.257
9 Os 0.000 0.000 0.000
10 Cl 0.000 0.402 0.770
11 Cl 0.000 0.598 0.230
12 Cl 0.402 0.000 0.770
13 Cl 0.402 0.402 0.230
14 Cl 0.598 0.000 0.230
15 Cl 0.598 0.598 0.770

# La2OsCl
Theoretical powder diffraction line list, copper Kα. Input: a cell relaxed with GGA-PBE.

Top 10 peaks for 2θ = 10–90°, sorted by position:
2θ/deg	intensity
10.7	65
33.8	100
36.7	44
38.4	13
42.0	23
43.9	9
52.9	15
58.6	15
64.3	31
69.8	11

Cell and atoms:
abc: 3.459 3.459 8.247
angles: 90.00 90.00 90.00
Element x y z (fractional)
1 La 0.000 0.000 0.218
2 La 0.000 0.000 0.782
3 Os 0.500 0.500 0.000
4 Cl 0.500 0.500 0.500